The following is a computed X-ray powder pattern of Sr2CuCO5. It was derived from a cell relaxed with GGA-PBE, using Cu Kα X-rays.
No peak broadening, texture or thermal motion is included.

Structural model:
```
Sr2CuCO5
1.0
-3.934 3.934 7.649
3.934 -3.934 7.649
3.934 3.934 -7.649
Sr Cu C O
8 4 4 20
Direct
0.129 0.129 0.000
0.136 0.636 0.500
0.352 0.352 0.000
0.364 0.864 0.500
0.636 0.136 0.500
0.648 0.648 0.000
0.864 0.364 0.500
0.871 0.871 0.000
0.000 0.000 0.500
0.000 0.500 0.000
0.500 0.000 0.000
0.500 0.500 0.500
0.250 0.263 0.513
0.263 0.750 0.013
0.737 0.250 0.987
0.750 0.737 0.487
0.010 0.760 0.249
0.084 0.266 0.350
0.188 0.595 0.930
0.239 0.990 0.750
0.240 0.489 0.250
0.257 0.188 0.592
0.266 0.916 0.183
0.335 0.743 0.930
0.405 0.335 0.592
0.489 0.239 0.249
0.511 0.761 0.751
0.595 0.665 0.408
0.665 0.257 0.070
0.734 0.084 0.817
0.743 0.812 0.408
0.760 0.511 0.750
0.761 0.010 0.250
0.812 0.405 0.070
0.916 0.734 0.650
0.990 0.240 0.751
```

Largest 10 diffraction maxima, in order of rising 2θ, 15° ≤ 2θ ≤ 90°:
2θ (°)  I/Imax
32.18  47
32.66  100
40.08  16
42.24  19
46.15  28
57.68  36
58.58  9
64.34  9
68.43  10
76.85  9